Diffraction record for Na4Zn3S5. The powder diffractogram is theoretical, not measured: it uses DFT lattice parameters and positions (PBE) and Cu Kα (λ = 1.5418 Å).
Peak positions follow from Bragg's law for the DFT cell and can differ from measured ones.

Top 10 peaks for 2θ from 10° to 90°, by angle:
Position (°2θ), I/Imax, index
11.55, 100, 1 0 2
23.20, 57, 2 0 4
26.81, 38, 0 1 3
27.69, 32, 1 1 3
30.08, 88, 2 1 3
34.19, 51, 5 0 1
37.37, 29, 1 1 6
40.74, 31, 0 1 7
45.58, 66, 5 1 4
46.28, 58, 0 2 0

Crystal structure
```
data_Na4Zn3S5
_chemical_formula_sum 'Na16 Zn12 S20'
_symmetry_space_group_name_H-M 'P n m a'
_symmetry_Int_Tables_number 62
_symmetry_space_group_name_Hall '-P 2ac 2n'
_cell_length_a 13.241
_cell_length_b 3.924
_cell_length_c 18.784
_cell_angle_alpha 90.00
_cell_angle_beta 90.00
_cell_angle_gamma 90.00
loop_
_atom_site_label
_atom_site_type_symbol
_atom_site_fract_x
_atom_site_fract_y
_atom_site_fract_z
Na1 Na 0.011 0.250 0.081
Na2 Na 0.012 0.750 0.262
Na3 Na 0.103 0.250 0.548
Na4 Na 0.237 0.750 0.164
Zn1 Zn 0.082 0.250 0.366
Zn2 Zn 0.172 0.750 0.783
Zn3 Zn 0.208 0.250 0.958
S1 S 0.099 0.750 0.662
S2 S 0.115 0.750 0.435
S3 S 0.119 0.250 0.848
S4 S 0.158 0.250 0.253
S5 S 0.159 0.750 0.023
```

=====

Diffraction record for Pm4Er4Tl. The powder diffractogram is theoretical, not measured: it uses DFT lattice parameters and positions (PBE) and Cu Kα (λ = 1.5418 Å).
Peak positions follow from Bragg's law for the DFT cell and can differ from measured ones.

Top 10 peaks for 2θ from 10° to 90°, by angle:
Position (°2θ), I/Imax, index
30.97, 100, 3 0 1
35.67, 34, 3 3 0
36.38, 16, 0 0 2
51.34, 12, 6 0 0
51.87, 24, 3 3 2
61.18, 29, 6 3 1
62.12, 14, 3 0 3
64.55, 12, 6 0 2
83.87, 6, 9 0 1
84.70, 12, 6 3 3

Crystal structure
```
data_Pm4Er4Tl
_chemical_formula_sum 'Pm8 Er8 Tl2'
_symmetry_space_group_name_H-M 'I 4/m m m'
_symmetry_Int_Tables_number 139
_symmetry_space_group_name_Hall '-I 4 2'
_cell_length_a 10.678
_cell_length_b 10.678
_cell_length_c 4.939
_cell_angle_alpha 90.00
_cell_angle_beta 90.00
_cell_angle_gamma 90.00
loop_
_atom_site_label
_atom_site_type_symbol
_atom_site_fract_x
_atom_site_fract_y
_atom_site_fract_z
Pm1 Pm 0.000 0.333 0.000
Er1 Er 0.162 0.162 0.500
Tl1 Tl 0.000 0.000 0.000
```

=====

Diffraction record for Tb4Y9Tm11. The powder diffractogram is theoretical, not measured: it uses DFT lattice parameters and positions (PBE) and Cu Kα (λ = 1.5418 Å).
Peak positions follow from Bragg's law for the DFT cell and can differ from measured ones.

Top 10 peaks for 2θ from 10° to 90°, by angle:
Position (°2θ), I/Imax, index
29.03, 7, 5 3 0
30.35, 15, 2 4 1
30.46, 43, 4 6 0
31.28, 16, 3 3 1
32.45, 7, 6 0 0
32.67, 100, 4 0 1
34.48, 12, 3 5 1
49.96, 11, 0 0 2
55.64, 7, 6 10 1
59.66, 14, 4 6 2

Crystal structure
```
data_Tb4Y9Tm11
_chemical_formula_sum 'Tb8 Y18 Tm22'
_symmetry_space_group_name_H-M 'C m m m'
_symmetry_Int_Tables_number 65
_symmetry_space_group_name_Hall '-C 2 2'
_cell_length_a 16.552
_cell_length_b 24.981
_cell_length_c 3.651
_cell_angle_alpha 90.00
_cell_angle_beta 90.00
_cell_angle_gamma 90.00
loop_
_atom_site_label
_atom_site_type_symbol
_atom_site_fract_x
_atom_site_fract_y
_atom_site_fract_z
Tb1 Tb 0.155 0.101 0.000
Y1 Y 0.000 0.000 0.000
Y2 Y 0.103 0.234 0.000
Y3 Y 0.141 0.427 0.000
Tm1 Tm 0.000 0.133 0.500
Tm2 Tm 0.000 0.340 0.500
Tm3 Tm 0.000 0.500 0.500
Tm4 Tm 0.209 0.000 0.500
Tm5 Tm 0.226 0.319 0.500
```

=====

Diffraction record for Sm2Cd5Cu. The powder diffractogram is theoretical, not measured: it uses DFT lattice parameters and positions (PBE) and Cu Kα (λ = 1.5418 Å).
Peak positions follow from Bragg's law for the DFT cell and can differ from measured ones.

Top 10 peaks for 2θ from 10° to 90°, by angle:
Position (°2θ), I/Imax, index
29.27, 100, 1 0 7
35.49, 20, 1 0 10
37.79, 33, 0 1 11
38.32, 96, 1 1 0
45.18, 15, 0 1 14
48.94, 24, 0 2 7
54.91, 11, 2 0 11
63.81, 21, 2 1 7
68.94, 11, 1 2 11
69.30, 16, 3 0 0

Crystal structure
```
data_Sm2Cd5Cu
_chemical_formula_sum 'Sm6 Cd15 Cu3'
_symmetry_space_group_name_H-M 'R -3 m'
_symmetry_Int_Tables_number 166
_symmetry_space_group_name_Hall '-R 3 2"'
_cell_length_a 4.6972
_cell_length_b 4.6972
_cell_length_c 32.2983
_cell_angle_alpha 90.00
_cell_angle_beta 90.00
_cell_angle_gamma 120.00
loop_
_atom_site_label
_atom_site_type_symbol
_atom_site_fract_x
_atom_site_fract_y
_atom_site_fract_z
Sm1 Sm 0.0000 0.0000 0.0867
Cd1 Cd 0.0000 0.0000 0.1965
Cd2 Cd 0.0000 0.0000 0.3541
Cd3 Cd 0.0000 0.0000 0.5000
Cu1 Cu 0.0000 0.0000 0.0000
```

=====

Diffraction record for MoPt2Rh. The powder diffractogram is theoretical, not measured: it uses DFT lattice parameters and positions (PBE) and Cu Kα (λ = 1.5418 Å).
Peak positions follow from Bragg's law for the DFT cell and can differ from measured ones.

Top 10 peaks for 2θ from 10° to 90°, by angle:
Position (°2θ), I/Imax, index
18.72, 8, 0 0 1
39.55, 34, 4 0 0
39.75, 100, 1 1 1
46.17, 65, 3 1 -1
67.22, 21, 6 0 -2
67.45, 14, 1 1 -3
80.90, 13, 7 1 -1
81.11, 17, 5 1 -3
81.22, 13, 4 2 0
81.33, 8, 2 2 -2

Crystal structure
```
data_MoPt2Rh
_chemical_formula_sum 'Mo2 Pt4 Rh2'
_symmetry_space_group_name_H-M 'C 1 m 1'
_symmetry_Int_Tables_number 8
_symmetry_space_group_name_Hall 'C -2y'
_cell_length_a 9.255
_cell_length_b 2.772
_cell_length_c 4.813
_cell_angle_alpha 90.00
_cell_angle_beta 100.03
_cell_angle_gamma 90.00
loop_
_atom_site_label
_atom_site_type_symbol
_atom_site_fract_x
_atom_site_fract_y
_atom_site_fract_z
Mo1 Mo 0.000 0.000 0.000
Pt1 Pt 0.004 0.500 0.507
Pt2 Pt 0.249 0.500 0.249
Rh1 Rh 0.256 0.000 0.762
```

=====

Diffraction record for K2NpInI6. The powder diffractogram is theoretical, not measured: it uses DFT lattice parameters and positions (PBE) and Cu Kα (λ = 1.5418 Å).
Peak positions follow from Bragg's law for the DFT cell and can differ from measured ones.

Top 10 peaks for 2θ from 10° to 90°, by angle:
Position (°2θ), I/Imax, index
12.43, 20, 1 0 1
14.14, 77, 0 1 2
23.66, 100, 2 -1 3
28.49, 38, 0 2 4
31.29, 73, 2 -1 6
35.38, 19, 3 -1 4
35.96, 43, 3 0 0
41.25, 33, 1 1 9
44.31, 17, 3 1 2
55.86, 21, 3 2 4

Crystal structure
```
data_K2NpInI6
_chemical_formula_sum 'K6 Np3 In3 I18'
_symmetry_space_group_name_H-M 'R 3'
_symmetry_Int_Tables_number 146
_symmetry_space_group_name_Hall 'R 3'
_cell_length_a 8.6505
_cell_length_b 8.6505
_cell_length_c 22.8520
_cell_angle_alpha 90.00
_cell_angle_beta 90.00
_cell_angle_gamma 120.00
loop_
_atom_site_label
_atom_site_type_symbol
_atom_site_fract_x
_atom_site_fract_y
_atom_site_fract_z
K1 K 0.0000 0.0000 0.0000
K2 K 0.0000 0.0000 0.4903
Np1 Np 0.0000 0.0000 0.6922
In1 In 0.0000 0.0000 0.1992
I1 I 0.0149 0.3935 0.4355
I2 I 0.0610 0.6921 0.2743
```

=====

Diffraction record for Pu4ThSn2. The powder diffractogram is theoretical, not measured: it uses DFT lattice parameters and positions (PBE) and Cu Kα (λ = 1.5418 Å).
Peak positions follow from Bragg's law for the DFT cell and can differ from measured ones.

Top 10 peaks for 2θ from 10° to 90°, by angle:
Position (°2θ), I/Imax, index
16.88, 27, 0 2 0
29.02, 26, 1 1 3
32.02, 23, 0 0 4
32.82, 100, 2 2 0
34.15, 45, 0 4 0
36.42, 34, 0 2 4
43.01, 22, 2 0 4
46.51, 34, 2 2 4
56.02, 20, 2 4 4
60.29, 19, 2 6 0

Crystal structure
```
data_Pu4ThSn2
_chemical_formula_sum 'Pu16 Th4 Sn8'
_symmetry_space_group_name_H-M 'F m m m'
_symmetry_Int_Tables_number 69
_symmetry_space_group_name_Hall '-F 2 2'
_cell_length_a 6.387
_cell_length_b 10.503
_cell_length_c 11.179
_cell_angle_alpha 90.00
_cell_angle_beta 90.00
_cell_angle_gamma 90.00
loop_
_atom_site_label
_atom_site_type_symbol
_atom_site_fract_x
_atom_site_fract_y
_atom_site_fract_z
Pu1 Pu 0.250 0.250 0.000
Pu2 Pu 0.250 0.250 0.250
Th1 Th 0.000 0.000 0.000
Sn1 Sn 0.000 0.000 0.361
```

=====

Diffraction record for MnP4. The powder diffractogram is theoretical, not measured: it uses DFT lattice parameters and positions (PBE) and Cu Kα (λ = 1.5418 Å).
Peak positions follow from Bragg's law for the DFT cell and can differ from measured ones.

Top 10 peaks for 2θ from 10° to 90°, by angle:
Position (°2θ), I/Imax, index
20.55, 34, 1 1 -1
32.07, 100, 1 3 1
32.36, 61, 0 0 4
39.12, 15, 2 2 0
44.61, 19, 1 1 -5
49.55, 24, 2 4 0
51.79, 20, 0 6 0
52.71, 45, 1 3 5
55.64, 12, 3 1 1
59.31, 17, 2 4 -4

Crystal structure
```
data_MnP4
_chemical_formula_sum 'Mn8 P32'
_symmetry_space_group_name_H-M 'C 1 2/c 1'
_symmetry_Int_Tables_number 15
_symmetry_space_group_name_Hall '-C 2yc'
_cell_length_a 5.121
_cell_length_b 10.592
_cell_length_c 11.080
_cell_angle_alpha 90.00
_cell_angle_beta 92.91
_cell_angle_gamma 90.00
loop_
_atom_site_label
_atom_site_type_symbol
_atom_site_fract_x
_atom_site_fract_y
_atom_site_fract_z
Mn1 Mn 0.000 0.095 0.250
Mn2 Mn 0.250 0.250 0.500
P1 P 0.047 0.092 0.045
P2 P 0.058 0.399 0.025
P3 P 0.196 0.250 0.711
P4 P 0.199 0.442 0.216
```

=====

- What is the formula in the sixth record?
  K2NpInI6